(1)
Diffraction record for NpU6Os2. The PXRD pattern is calculated, not measured: it uses a PBE-relaxed structure and copper Kα.
Intensities are scaled so that the largest is 100.

Principal peaks in the range 2θ from 5° to 70°, in order of rising 2θ:
d/Å	2θ (°)	I_rel	(hkl)
2.741	32.66	17	0 0 1
2.444	36.78	100	3 3 0
2.418	37.19	28	3 1 -1
2.376	37.87	40	6 0 0
2.309	39.00	18	0 2 1
2.180	41.42	17	3 1 1

Atomic structure:
```
data_NpU6Os2
_chemical_formula_sum 'Np2 U12 Os4'
_symmetry_space_group_name_H-M 'C 1 m 1'
_symmetry_Int_Tables_number 8
_symmetry_space_group_name_Hall 'C -2y'
_cell_length_a 14.373
_cell_length_b 8.548
_cell_length_c 2.767
_cell_angle_alpha 90.00
_cell_angle_beta 97.38
_cell_angle_gamma 90.00
loop_
_atom_site_label
_atom_site_type_symbol
_atom_site_fract_x
_atom_site_fract_y
_atom_site_fract_z
Np1 Np 0.000 0.000 0.000
U1 U 0.137 0.186 0.120
U2 U 0.310 0.344 0.326
U3 U 0.459 0.157 0.416
Os1 Os 0.133 0.500 0.827
Os2 Os 0.286 0.000 0.919
```

***

(2)
Diffraction record for Sr3ErAg4. The PXRD pattern is calculated, not measured: it uses a PBE-relaxed structure and copper Kα.
Intensities are scaled so that the largest is 100.

Principal peaks in the range 2θ from 5° to 70°, in order of rising 2θ:
d/Å	2θ (°)	I_rel	(hkl)
15.660	5.64	23	0 0 1
2.730	32.80	100	1 0 4
2.694	33.26	54	1 1 0
1.905	47.75	19	2 0 0
1.584	58.26	13	1 1 8
1.562	59.14	35	2 1 4

Atomic structure:
```
data_Sr3ErAg4
_chemical_formula_sum 'Sr3 Er1 Ag4'
_symmetry_space_group_name_H-M 'P 4/m m m'
_symmetry_Int_Tables_number 123
_symmetry_space_group_name_Hall '-P 4 2'
_cell_length_a 3.810
_cell_length_b 3.810
_cell_length_c 15.660
_cell_angle_alpha 90.00
_cell_angle_beta 90.00
_cell_angle_gamma 90.00
loop_
_atom_site_label
_atom_site_type_symbol
_atom_site_fract_x
_atom_site_fract_y
_atom_site_fract_z
Sr1 Sr 0.000 0.000 0.000
Sr2 Sr 0.000 0.000 0.260
Er1 Er 0.000 0.000 0.500
Ag1 Ag 0.500 0.500 0.129
Ag2 Ag 0.500 0.500 0.401
```

***

(3)
Diffraction record for AgSb6Pd12. The PXRD pattern is calculated, not measured: it uses a PBE-relaxed structure and copper Kα.
Intensities are scaled so that the largest is 100.

Principal peaks in the range 2θ from 5° to 70°, in order of rising 2θ:
d/Å	2θ (°)	I_rel	(hkl)
2.817	31.76	90	1 3 1
2.535	35.41	56	1 1 3
2.373	37.91	100	3 2 1
2.197	41.08	87	0 3 3
2.128	42.48	57	2 3 2
1.916	47.44	80	5 0 2

Atomic structure:
```
data_AgSb6Pd12
_chemical_formula_sum 'Ag3 Sb18 Pd36'
_symmetry_space_group_name_H-M 'R -3 m'
_symmetry_Int_Tables_number 166
_symmetry_space_group_name_Hall '-R 3 2"'
_cell_length_a 12.4635
_cell_length_b 12.4635
_cell_length_c 8.3255
_cell_angle_alpha 90.00
_cell_angle_beta 90.00
_cell_angle_gamma 120.00
loop_
_atom_site_label
_atom_site_type_symbol
_atom_site_fract_x
_atom_site_fract_y
_atom_site_fract_z
Ag1 Ag 0.0000 0.0000 0.0000
Sb1 Sb 0.0577 0.5289 0.2507
Pd1 Pd 0.0000 0.3782 0.5000
Pd2 Pd 0.0778 0.1556 0.2892
```

***

(4)
Diffraction record for Sr2CaTl. The PXRD pattern is calculated, not measured: it uses a PBE-relaxed structure and copper Kα.
Intensities are scaled so that the largest is 100.

Principal peaks in the range 2θ from 5° to 70°, in order of rising 2θ:
d/Å	2θ (°)	I_rel	(hkl)
4.615	19.23	94	2 1 1
3.271	27.26	66	1 1 2
3.088	28.92	77	2 4 0
3.017	29.61	73	1 4 1
2.718	32.96	100	1 3 2
2.566	34.96	98	4 3 1

Atomic structure:
```
data_Sr2CaTl
_chemical_formula_sum 'Sr16 Ca8 Tl8'
_symmetry_space_group_name_H-M 'I -4'
_symmetry_Int_Tables_number 82
_symmetry_space_group_name_Hall 'I -4'
_cell_length_a 13.809
_cell_length_b 13.809
_cell_length_c 6.944
_cell_angle_alpha 90.00
_cell_angle_beta 90.00
_cell_angle_gamma 90.00
loop_
_atom_site_label
_atom_site_type_symbol
_atom_site_fract_x
_atom_site_fract_y
_atom_site_fract_z
Sr1 Sr 0.035 0.363 0.017
Sr2 Sr 0.083 0.880 0.252
Ca1 Ca 0.170 0.779 0.735
Tl1 Tl 0.056 0.293 0.517
```

***

(5)
Diffraction record for Ag5C3. The PXRD pattern is calculated, not measured: it uses a PBE-relaxed structure and copper Kα.
Intensities are scaled so that the largest is 100.

Principal peaks in the range 2θ from 5° to 70°, in order of rising 2θ:
d/Å	2θ (°)	I_rel	(hkl)
2.844	31.45	73	1 0 1
2.588	34.67	35	0 0 5
2.166	41.71	100	1 0 4
2.062	43.92	55	1 1 0
1.612	57.12	32	1 1 5
1.458	63.85	17	2 0 0

Atomic structure:
```
data_Ag5C3
_chemical_formula_sum 'Ag5 C3'
_symmetry_space_group_name_H-M 'P 4/m m m'
_symmetry_Int_Tables_number 123
_symmetry_space_group_name_Hall '-P 4 2'
_cell_length_a 2.916
_cell_length_b 2.916
_cell_length_c 12.938
_cell_angle_alpha 90.00
_cell_angle_beta 90.00
_cell_angle_gamma 90.00
loop_
_atom_site_label
_atom_site_type_symbol
_atom_site_fract_x
_atom_site_fract_y
_atom_site_fract_z
Ag1 Ag 0.000 0.000 0.000
Ag2 Ag 0.000 0.000 0.222
Ag3 Ag 0.500 0.500 0.390
C1 C 0.000 0.000 0.500
C2 C 0.500 0.500 0.120
```

***

(6)
Diffraction record for PmRuN. The PXRD pattern is calculated, not measured: it uses a PBE-relaxed structure and copper Kα.
Intensities are scaled so that the largest is 100.

Principal peaks in the range 2θ from 5° to 70°, in order of rising 2θ:
d/Å	2θ (°)	I_rel	(hkl)
5.567	15.92	62	0 1 1
3.526	25.26	40	0 2 0
3.178	28.08	94	1 1 1
2.783	32.17	43	0 2 2
2.258	39.93	100	1 1 3
1.962	46.28	41	1 3 1

Atomic structure:
```
data_PmRuN
_chemical_formula_sum 'Pm4 Ru4 N4'
_symmetry_space_group_name_H-M 'A m a 2'
_symmetry_Int_Tables_number 40
_symmetry_space_group_name_Hall 'A 2 -2a'
_cell_length_a 3.870
_cell_length_b 7.052
_cell_length_c 9.072
_cell_angle_alpha 90.00
_cell_angle_beta 90.00
_cell_angle_gamma 90.00
loop_
_atom_site_label
_atom_site_type_symbol
_atom_site_fract_x
_atom_site_fract_y
_atom_site_fract_z
Pm1 Pm 0.250 0.248 0.000
Ru1 Ru 0.250 0.127 0.294
N1 N 0.250 0.328 0.732
```

***

(7)
Diffraction record for Cs3Th3SnTe8. The PXRD pattern is calculated, not measured: it uses a PBE-relaxed structure and copper Kα.
Intensities are scaled so that the largest is 100.

Principal peaks in the range 2θ from 5° to 70°, in order of rising 2θ:
d/Å	2θ (°)	I_rel	(hkl)
9.052	9.77	38	0 0 3
3.438	25.92	100	0 2 4
2.780	32.19	17	0 2 7
2.585	34.71	34	2 0 8
2.302	39.13	37	2 2 0
1.913	47.54	19	4 0 4

Atomic structure:
```
data_Cs3Th3SnTe8
_chemical_formula_sum 'Cs9 Th9 Sn3 Te24'
_symmetry_space_group_name_H-M 'R -3 m'
_symmetry_Int_Tables_number 166
_symmetry_space_group_name_Hall '-R 3 2"'
_cell_length_a 9.2080
_cell_length_b 9.2080
_cell_length_c 27.1548
_cell_angle_alpha 90.00
_cell_angle_beta 90.00
_cell_angle_gamma 120.00
loop_
_atom_site_label
_atom_site_type_symbol
_atom_site_fract_x
_atom_site_fract_y
_atom_site_fract_z
Cs1 Cs 0.0000 0.5000 0.0000
Th1 Th 0.0000 0.5000 0.5000
Sn1 Sn 0.0000 0.0000 0.5000
Te1 Te 0.0000 0.0000 0.2323
Te2 Te 0.0088 0.5044 0.7693
```

***

(8)
Diffraction record for Cs7K4Cd. The PXRD pattern is calculated, not measured: it uses a PBE-relaxed structure and copper Kα.
Intensities are scaled so that the largest is 100.

Principal peaks in the range 2θ from 5° to 70°, in order of rising 2θ:
d/Å	2θ (°)	I_rel	(hkl)
4.272	20.79	100	1 1 3
4.222	21.04	96	3 1 -2
3.813	23.33	59	0 2 0
3.746	23.75	55	4 0 1
3.497	25.47	53	2 0 -5
2.578	34.80	59	2 0 6

Atomic structure:
```
data_Cs7K4Cd
_chemical_formula_sum 'Cs14 K8 Cd2'
_symmetry_space_group_name_H-M 'C 1 2/m 1'
_symmetry_Int_Tables_number 12
_symmetry_space_group_name_Hall '-C 2y'
_cell_length_a 16.431
_cell_length_b 7.626
_cell_length_c 17.949
_cell_angle_alpha 90.00
_cell_angle_beta 102.17
_cell_angle_gamma 90.00
loop_
_atom_site_label
_atom_site_type_symbol
_atom_site_fract_x
_atom_site_fract_y
_atom_site_fract_z
Cs1 Cs 0.000 0.000 0.000
Cs2 Cs 0.083 0.000 0.644
Cs3 Cs 0.142 0.500 0.449
Cs4 Cs 0.233 0.500 0.096
K1 K 0.044 0.500 0.811
K2 K 0.184 0.000 0.265
Cd1 Cd 0.000 0.500 0.000
```

***

- Which formula does entry 1 have?
  NpU6Os2